# 1
Starting from a structure optimized by DFT (GGA-PBE), the X-ray diffraction stick pattern of Ho2SnPt9 was calculated for Cu Ka.
No peak broadening, texture or thermal motion is included.

Atomic structure:
Cell lengths 4.0929, 4.0929, 12.2759 Å; angles 90.00, 90.00, 90.00 degrees
Atoms (fractional coordinates):
Ho1 0.0000 0.0000 0.1665
Ho2 0.0000 0.0000 0.8335
Sn1 0.0000 0.0000 0.5000
Pt1 0.0000 0.5000 0.0000
Pt2 0.0000 0.5000 0.3366
Pt3 0.0000 0.5000 0.6634
Pt4 0.5000 0.0000 0.0000
Pt5 0.5000 0.0000 0.3366
Pt6 0.5000 0.0000 0.6634
Pt7 0.5000 0.5000 0.1700
Pt8 0.5000 0.5000 0.5000
Pt9 0.5000 0.5000 0.8300

Principal peaks in the range 2θ from 15° to 90°, low angle first:
Position (°2θ)	I_rel
21.7	1
30.9	1
38.1	100
44.3	49
64.4	33
77.3	39
81.5	11

=====

# 2
Starting from a structure optimized by DFT (GGA-PBE), the X-ray diffraction stick pattern of SrHo2Pt9 was calculated for Cu Ka.
No peak broadening, texture or thermal motion is included.

Atomic structure:
Cell lengths 9.3458, 9.3458, 9.3458 Å; angles 34.01, 34.01, 34.01 degrees
Atoms (fractional coordinates):
Sr1 0.0000 0.0000 0.0000
Ho1 0.1402 0.1402 0.1402
Ho2 0.8598 0.8598 0.8598
Pt1 0.0809 0.5887 0.5887
Pt2 0.3324 0.3324 0.3324
Pt3 0.4113 0.4113 0.9191
Pt4 0.4113 0.9191 0.4113
Pt5 0.5000 0.5000 0.5000
Pt6 0.5887 0.0809 0.5887
Pt7 0.5887 0.5887 0.0809
Pt8 0.6676 0.6676 0.6676
Pt9 0.9191 0.4113 0.4113

Principal peaks in the range 2θ from 15° to 90°, low angle first:
Position (°2θ)	I_rel
19.0	32
38.2	28
38.8	100
40.5	21
41.0	26
41.8	57
42.2	26
62.5	25
68.7	29
83.2	21

=====

# 3
Starting from a structure optimized by DFT (GGA-PBE), the X-ray diffraction stick pattern of Tb2HoPt was calculated for Cu Ka.
No peak broadening, texture or thermal motion is included.

Atomic structure:
Cell lengths 6.3286, 6.3286, 9.5193 Å; angles 90.00, 90.00, 145.15 degrees
Atoms (fractional coordinates):
Tb1 0.1364 0.8636 0.5638
Tb2 0.1364 0.8636 0.9362
Tb3 0.8636 0.1364 0.0638
Tb4 0.8636 0.1364 0.4362
Ho1 0.4273 0.5727 0.7500
Ho2 0.5727 0.4273 0.2500
Pt1 0.2595 0.7405 0.2500
Pt2 0.7405 0.2595 0.7500

Principal peaks in the range 2θ from 15° to 90°, low angle first:
Position (°2θ)	I_rel
31.1	87
31.9	54
32.4	23
33.8	100
35.2	33
37.7	66
48.0	25
49.1	18
58.8	37
58.9	30

=====

# 4
Starting from a structure optimized by DFT (GGA-PBE), the X-ray diffraction stick pattern of Tb4HoPt2 was calculated for Cu Ka.
No peak broadening, texture or thermal motion is included.

Atomic structure:
Cell lengths 7.7741, 6.3865, 8.1206 Å; angles 90.00, 112.91, 90.00 degrees
Atoms (fractional coordinates):
Tb1 0.0165 0.2500 0.3865
Tb2 0.2464 0.7500 0.3454
Tb3 0.4101 0.0062 0.7699
Tb4 0.4101 0.4938 0.7699
Tb5 0.5899 0.5062 0.2301
Tb6 0.5899 0.9938 0.2301
Tb7 0.7536 0.2500 0.6546
Tb8 0.9835 0.7500 0.6135
Ho1 0.1533 0.2500 0.0290
Ho2 0.8467 0.7500 0.9710
Pt1 0.2405 0.7500 0.9917
Pt2 0.3771 0.2500 0.4110
Pt3 0.6229 0.7500 0.5890
Pt4 0.7595 0.2500 0.0083

Principal peaks in the range 2θ from 15° to 90°, low angle first:
Position (°2θ)	I_rel
27.9	47
30.4	42
31.0	46
31.1	66
33.1	42
34.7	100
34.9	44
36.5	62
37.0	74
38.7	42

=====

# 5
Starting from a structure optimized by DFT (GGA-PBE), the X-ray diffraction stick pattern of Ho2ThPt2 was calculated for Cu Ka.
No peak broadening, texture or thermal motion is included.

Atomic structure:
Cell lengths 13.8069, 13.8069, 4.6753 Å; angles 90.00, 90.00, 164.00 degrees
Atoms (fractional coordinates):
Ho1 0.0500 0.9500 0.7500
Ho2 0.2640 0.7360 0.2500
Ho3 0.7360 0.2640 0.7500
Ho4 0.9500 0.0500 0.2500
Th1 0.3626 0.6374 0.7500
Th2 0.6374 0.3626 0.2500
Pt1 0.1580 0.8420 0.7500
Pt2 0.4659 0.5341 0.7500
Pt3 0.5341 0.4659 0.2500
Pt4 0.8420 0.1580 0.2500

Principal peaks in the range 2θ from 15° to 90°, low angle first:
Position (°2θ)	I_rel
30.3	25
31.7	100
32.7	37
38.1	63
38.5	42
42.6	27
47.3	24
51.4	21
62.6	21
72.5	21

=====

# 6
Starting from a structure optimized by DFT (GGA-PBE), the X-ray diffraction stick pattern of Ho6Tl3Pt was calculated for Cu Ka.
No peak broadening, texture or thermal motion is included.

Atomic structure:
Cell lengths 8.9903, 11.7869, 5.1809 Å; angles 90.00, 90.00, 90.00 degrees
Atoms (fractional coordinates):
Ho1 0.0125 0.2378 0.0000
Ho2 0.1568 0.0827 0.5000
Ho3 0.1869 0.4124 0.5000
Ho4 0.3131 0.9124 0.0000
Ho5 0.3432 0.5827 0.0000
Ho6 0.4875 0.7378 0.5000
Ho7 0.5125 0.2622 0.5000
Ho8 0.6568 0.4173 0.0000
Ho9 0.6869 0.0876 0.0000
Ho10 0.8131 0.5876 0.5000
Ho11 0.8432 0.9173 0.5000
Ho12 0.9875 0.7622 0.0000
Tl1 0.0000 0.5000 0.0000
Tl2 0.1541 0.7336 0.5000
Tl3 0.3459 0.2336 0.0000
Tl4 0.5000 0.0000 0.5000
Tl5 0.6541 0.7664 0.0000
Tl6 0.8459 0.2664 0.5000
Pt1 0.0000 0.0000 0.0000
Pt2 0.5000 0.5000 0.5000

Principal peaks in the range 2θ from 15° to 90°, low angle first:
Position (°2θ)	I_rel
30.2	74
30.3	9
34.6	100
36.5	28
46.6	32
50.7	8
51.2	11
59.0	10
59.3	20
62.0	17

=====

What did the sixth record say?
Starting from a structure optimized by DFT (GGA-PBE), the X-ray diffraction stick pattern of Ho6Tl3Pt was calculated for Cu Ka.
No peak broadening, texture or thermal motion is included.

Atomic structure:
Cell lengths 8.9903, 11.7869, 5.1809 Å; angles 90.00, 90.00, 90.00 degrees
Atoms (fractional coordinates):
Ho1 0.0125 0.2378 0.0000
Ho2 0.1568 0.0827 0.5000
Ho3 0.1869 0.4124 0.5000
Ho4 0.3131 0.9124 0.0000
Ho5 0.3432 0.5827 0.0000
Ho6 0.4875 0.7378 0.5000
Ho7 0.5125 0.2622 0.5000
Ho8 0.6568 0.4173 0.0000
Ho9 0.6869 0.0876 0.0000
Ho10 0.8131 0.5876 0.5000
Ho11 0.8432 0.9173 0.5000
Ho12 0.9875 0.7622 0.0000
Tl1 0.0000 0.5000 0.0000
Tl2 0.1541 0.7336 0.5000
Tl3 0.3459 0.2336 0.0000
Tl4 0.5000 0.0000 0.5000
Tl5 0.6541 0.7664 0.0000
Tl6 0.8459 0.2664 0.5000
Pt1 0.0000 0.0000 0.0000
Pt2 0.5000 0.5000 0.5000

Principal peaks in the range 2θ from 15° to 90°, low angle first:
Position (°2θ)	I_rel
30.2	74
30.3	9
34.6	100
36.5	28
46.6	32
50.7	8
51.2	11
59.0	10
59.3	20
62.0	17